# Th3FeHg2
Computed X-ray diffraction stick pattern, a wavelength of 1.5418 Å. Input: a DFT-relaxed cell (PBE, Alexandria).
Lines closer than 0.1° are merged.

Principal peaks in the range 2θ from 15° to 90°, in order of rising 2θ:
30.4°, intensity 95.7; 31.8°, intensity 100.0; 32.2°, intensity 79.8; 34.0°, intensity 45.7; 35.2°, intensity 56.9; 40.3°, intensity 18.7; 48.5°, intensity 54.3; 49.4°, intensity 22.2; 60.0°, intensity 34.4; 62.1°, intensity 22.6

```
data_Th3FeHg2
_symmetry_space_group_name_H-M 'C m m m'
_symmetry_Int_Tables_number 65
_symmetry_space_group_name_Hall '-C 2 2'
_cell_length_a 5.0954
_cell_length_b 16.8580
_cell_length_c 3.6916
_cell_angle_alpha 90.00
_cell_angle_beta 90.00
_cell_angle_gamma 90.00
loop_
_atom_site_label
_atom_site_fract_x
_atom_site_fract_y
_atom_site_fract_z
_atom_site_occupancy
Th1 0.0000 0.0000 0.0000 1
Th2 0.0000 0.3748 0.5000 1
Fe1 0.0000 0.5000 0.0000 1
Hg1 0.0000 0.1989 0.0000 1
```



# Th4Fe2Hg
Computed X-ray diffraction stick pattern, a wavelength of 1.5418 Å. Input: a DFT-relaxed cell (PBE, Alexandria).
Lines closer than 0.1° are merged.

Principal peaks in the range 2θ from 15° to 90°, in order of rising 2θ:
26.2°, intensity 14.7; 29.0°, intensity 67.5; 31.4°, intensity 68.8; 33.2°, intensity 27.6; 33.6°, intensity 100.0; 36.2°, intensity 26.5; 39.7°, intensity 20.4; 45.8°, intensity 21.6; 60.6°, intensity 16.6; 65.6°, intensity 18.1

```
data_Th4Fe2Hg
_symmetry_space_group_name_H-M 'C 1 2 1'
_symmetry_Int_Tables_number 5
_symmetry_space_group_name_Hall 'C 2y'
_cell_length_a 11.6443
_cell_length_b 8.3800
_cell_length_c 9.2888
_cell_angle_alpha 90.00
_cell_angle_beta 128.80
_cell_angle_gamma 90.00
loop_
_atom_site_label
_atom_site_fract_x
_atom_site_fract_y
_atom_site_fract_z
_atom_site_occupancy
Th1 0.0622 0.0000 0.2284 1
Th2 0.0798 0.4317 0.3845 1
Th3 0.1659 0.7501 0.7284 1
Th4 0.1956 0.6816 0.1146 1
Fe1 0.1367 0.7152 0.3914 1
Fe2 0.2443 0.9655 0.1082 1
Hg1 0.0000 0.0963 0.5000 1
Hg2 0.0000 0.3458 0.0000 1
```



# Th5FeHg
Computed X-ray diffraction stick pattern, a wavelength of 1.5418 Å. Input: a DFT-relaxed cell (PBE, Alexandria).
Lines closer than 0.1° are merged.

Principal peaks in the range 2θ from 15° to 90°, in order of rising 2θ:
28.2°, intensity 45.5; 32.1°, intensity 23.7; 33.8°, intensity 100.0; 35.8°, intensity 28.1; 38.5°, intensity 23.2; 48.8°, intensity 15.1; 53.6°, intensity 18.2; 61.6°, intensity 20.3; 63.1°, intensity 17.1; 66.7°, intensity 14.5

```
data_Th5FeHg
_symmetry_space_group_name_H-M 'P m m m'
_symmetry_Int_Tables_number 47
_symmetry_space_group_name_Hall '-P 2 2'
_cell_length_a 4.6793
_cell_length_b 5.0105
_cell_length_c 8.3766
_cell_angle_alpha 90.00
_cell_angle_beta 90.00
_cell_angle_gamma 90.00
loop_
_atom_site_label
_atom_site_fract_x
_atom_site_fract_y
_atom_site_fract_z
_atom_site_occupancy
Th1 0.0000 0.0000 0.0000 1
Th2 0.0000 0.5000 0.3013 1
Th3 0.5000 0.0000 0.2997 1
Fe1 0.0000 0.0000 0.5000 1
Hg1 0.5000 0.5000 0.0000 1
```



# Tl2FeHg2
Computed X-ray diffraction stick pattern, a wavelength of 1.5418 Å. Input: a DFT-relaxed cell (PBE, Alexandria).
Lines closer than 0.1° are merged.

Principal peaks in the range 2θ from 15° to 90°, in order of rising 2θ:
24.4°, intensity 13.5; 32.6°, intensity 100.0; 35.2°, intensity 21.2; 39.1°, intensity 20.4; 53.3°, intensity 11.0; 53.6°, intensity 14.8; 54.9°, intensity 19.2; 61.5°, intensity 16.7; 65.5°, intensity 9.7; 72.2°, intensity 10.9

```
data_Tl2FeHg2
_symmetry_space_group_name_H-M 'P 4/m b m'
_symmetry_Int_Tables_number 127
_symmetry_space_group_name_Hall '-P 4 2ab'
_cell_length_a 7.2924
_cell_length_b 7.2924
_cell_length_c 5.1019
_cell_angle_alpha 90.00
_cell_angle_beta 90.00
_cell_angle_gamma 90.00
loop_
_atom_site_label
_atom_site_fract_x
_atom_site_fract_y
_atom_site_fract_z
_atom_site_occupancy
Tl1 0.1747 0.3253 0.0000 1
Fe1 0.0000 0.0000 0.0000 1
Hg1 0.1519 0.6519 0.5000 1
```



# FeHgW
Computed X-ray diffraction stick pattern, a wavelength of 1.5418 Å. Input: a DFT-relaxed cell (PBE, Alexandria).
Lines closer than 0.1° are merged.

Principal peaks in the range 2θ from 15° to 90°, in order of rising 2θ:
30.2°, intensity 37.7; 34.8°, intensity 16.0; 39.2°, intensity 100.0; 41.3°, intensity 57.2; 45.9°, intensity 11.8; 55.1°, intensity 17.8; 59.8°, intensity 19.2; 70.9°, intensity 11.0; 71.1°, intensity 8.5; 73.9°, intensity 31.5

```
data_FeHgW
_symmetry_space_group_name_H-M 'P 4/n m m'
_symmetry_Int_Tables_number 129
_cell_length_a 3.0916
_cell_length_b 3.0916
_cell_length_c 10.2986
_cell_angle_alpha 90.00
_cell_angle_beta 90.00
_cell_angle_gamma 90.00
loop_
_symmetry_equiv_pos_as_xyz
'x,y,z'
'-x,-y,-z'
'-y+1/2,x,z'
'y+1/2,-x,-z'
'-x+1/2,-y+1/2,z'
'x+1/2,y+1/2,-z'
'y,-x+1/2,z'
'-y,x+1/2,-z'
'x+1/2,-y,-z'
'-x+1/2,y,z'
'-y,-x,-z'
'y,x,z'
'-x,y+1/2,-z'
'x,-y+1/2,z'
'y+1/2,x+1/2,-z'
'-y+1/2,-x+1/2,z'
loop_
_atom_site_label
_atom_site_fract_x
_atom_site_fract_y
_atom_site_fract_z
_atom_site_occupancy
Fe1 0.2500 0.2500 0.2040 1
Hg1 0.2500 0.2500 0.6159 1
W1 0.2500 0.2500 0.9168 1
```



# Y4FeHg
Computed X-ray diffraction stick pattern, a wavelength of 1.5418 Å. Input: a DFT-relaxed cell (PBE, Alexandria).
Lines closer than 0.1° are merged.

Principal peaks in the range 2θ from 15° to 90°, in order of rising 2θ:
17.4°, intensity 17.1; 20.7°, intensity 17.8; 28.7°, intensity 18.6; 29.8°, intensity 19.1; 30.0°, intensity 28.9; 32.7°, intensity 100.0; 36.4°, intensity 27.8; 37.7°, intensity 12.9; 38.7°, intensity 16.2; 39.6°, intensity 15.6

```
data_Y4FeHg
_symmetry_space_group_name_H-M 'C 1 2/c 1'
_symmetry_Int_Tables_number 15
_symmetry_space_group_name_Hall '-C 2yc'
_cell_length_a 8.6067
_cell_length_b 12.4590
_cell_length_c 6.1566
_cell_angle_alpha 90.00
_cell_angle_beta 105.23
_cell_angle_gamma 90.00
loop_
_atom_site_label
_atom_site_fract_x
_atom_site_fract_y
_atom_site_fract_z
_atom_site_occupancy
Y1 0.1035 0.1637 0.0390 1
Y2 0.2143 0.4190 0.4051 1
Fe1 0.0000 0.0017 0.2500 1
Hg1 0.0000 0.3707 0.7500 1
```